Diffraction record for Cs3EuF6. The powder diffractogram is simulated, not measured: it uses the PBE geometry in the Materials Project and Cu Kα, 1.54184 Å.
Neutral-atom scattering factors, no anomalous dispersion.

Structure:
```
10
Lattice="-3.636 3.636 5.140 3.636 -3.636 5.140 3.636 3.636 -5.140" Properties=species:S:1:pos:R:3 pbc="T T T"
Cs 0.000 0.000 0.000
Cs 3.636 0.000 2.570
Cs 0.000 3.636 2.570
Eu 0.000 0.000 5.140
F 3.636 1.418 0.000
F 0.000 0.000 2.817
F 1.418 3.636 0.000
F 2.218 0.000 5.140
F 0.000 0.000 7.464
F 0.000 2.218 5.140
```

Peak list (10 most intense, 2θ from 10° to 90°, in order of rising 2θ)
| Position (°2θ) | I/Imax |
| --- | --- |
| 24.5 | 100.0 |
| 34.9 | 24.1 |
| 43.1 | 48.7 |
| 50.2 | 16.0 |
| 56.6 | 21.4 |
| 62.6 | 6.7 |
| 68.3 | 22.8 |
| 79.0 | 12.7 |
| 84.2 | 7.3 |
| 89.4 | 6.0 |